Calculated powder X-ray diffraction pattern
Compound: Li2MnOF3
Radiation: Cu Kα, 1.54184 Å
Structure: a cell relaxed with PBE+U

Main lines, in order of rising 2θ (2θ from 15° to 90°):
| two_theta | d/Å | I_rel | (hkl) |
| --- | --- | --- | --- |
| 18.70 | 4.745 | 100 | 0 1 1 |
| 19.98 | 4.444 | 59 | 0 0 2 |
| 25.57 | 3.484 | 28 | 0 1 2 |
| 30.86 | 2.897 | 15 | 1 0 0 |
| 37.04 | 2.427 | 35 | 1 0 2 |
| 37.92 | 2.373 | 42 | 0 2 2 |
| 40.49 | 2.228 | 40 | 1 1 2 |
| 46.74 | 1.943 | 18 | 1 1 3 |
| 49.66 | 1.836 | 17 | 1 2 2 |
| 51.85 | 1.763 | 23 | 1 0 4 |
| 55.11 | 1.667 | 16 | 1 2 3 |
| 58.75 | 1.572 | 21 | 1 3 0 |

Atomic structure:
a = 2.8974 Å, b = 5.6119 Å, c = 8.8881 Å
α = 90.00°, β = 90.00°, γ = 90.00°
Fractional positions:
Li 0.0000 0.1599 0.0000
Li 0.0000 0.2006 0.6794
Li 0.0000 0.7994 0.1794
Li 0.0000 0.8401 0.5000
Mn 0.5000 0.3209 0.3227
Mn 0.5000 0.6791 0.8227
O 0.0000 0.2051 0.4384
O 0.0000 0.7949 0.9384
F 0.0000 0.4399 0.1799
F 0.0000 0.5601 0.6799
F 0.5000 0.0384 0.1541
F 0.5000 0.3005 0.8746
F 0.5000 0.6995 0.3746
F 0.5000 0.9616 0.6541